Calculated powder XRD pattern
Compound: Dy4YCuS8
Radiation: CuKα
Structure: a cell relaxed with PBE
Neutral-atom scattering factors, no anomalous dispersion.

Structural model:
Cell lengths 7.9216, 7.9216, 19.4081 Å; angles 90.00, 90.00, 120.00 degrees
Space group R3m (No. 160, hexagonal axes)
One atom of each set of equivalent atoms:
Dy  0.0000  0.0000  0.0000 x3
Dy  0.1730  0.3460  0.2066 x9
Y  0.0000  0.0000  0.3797 x3
Cu  0.0000  0.0000  0.7491 x3
S  0.0000  0.0000  0.1339 x3
S  0.0000  0.0000  0.6233 x3
S  0.0040  0.5020  0.1256 x9
S  0.1785  0.3570  0.9552 x9

Most intense lines, 10° ≤ 2θ ≤ 90°, sorted by position:
2θ/deg	d_spacing	intensity	h k l
13.7	6.469	18.4	0 0 3
22.4	3.961	21.9	1 0 4
26.4	3.378	100.0	0 2 1
27.6	3.234	14.1	0 0 6
32.0	2.801	27.6	0 2 4
41.9	2.156	44.0	0 2 7
45.8	1.981	60.1	2 0 8
53.6	1.709	13.7	4 0 1
63.8	1.459	23.8	4 0 7
84.8	1.143	19.1	0 2 16

=====

Calculated powder XRD pattern
Compound: Dy4Cu3Sb8
Radiation: CuKα
Structure: a cell relaxed with PBE
Neutral-atom scattering factors, no anomalous dispersion.

Structural model:
Cell lengths 4.340, 4.340, 19.142 Å; angles 90.00, 90.00, 90.00 degrees
Space group P-4m2 (No. 115)
One atom of each set of equivalent atoms:
Dy  0.000  0.500  0.117 x2
Dy  0.000  0.500  0.628 x2
Cu  0.000  0.000  0.000 x1
Cu  0.000  0.000  0.500 x1
Cu  0.500  0.500  0.500 x1
Sb  0.000  0.000  0.244 x2
Sb  0.000  0.500  0.417 x2
Sb  0.000  0.500  0.929 x2
Sb  0.500  0.500  0.245 x2

Most intense lines, 10° ≤ 2θ ≤ 90°, sorted by position:
2θ/deg	d_spacing	intensity	h k l
27.8	3.215	13.7	1 0 4
30.6	2.922	20.6	1 1 2
34.7	2.583	100.0	1 1 4
34.9	2.570	24.5	1 0 6
41.6	2.170	44.9	2 0 0
52.2	1.751	15.4	1 0 10
55.4	1.658	13.0	2 1 6
60.3	1.534	14.7	2 2 0
68.9	1.363	13.3	2 1 10
71.5	1.319	23.7	3 1 4

=====

Calculated powder XRD pattern
Compound: DySc3Cu4
Radiation: CuKα
Structure: a cell relaxed with PBE
Neutral-atom scattering factors, no anomalous dispersion.

Structural model:
Cell lengths 3.307, 3.307, 13.248 Å; angles 90.00, 90.00, 90.00 degrees
Space group P4/mmm (No. 123)
One atom of each set of equivalent atoms:
Dy  0.000  0.000  0.000 x1
Sc  0.000  0.000  0.258 x2
Sc  0.000  0.000  0.500 x1
Cu  0.500  0.500  0.143 x2
Cu  0.500  0.500  0.378 x2

Most intense lines, 10° ≤ 2θ ≤ 90°, sorted by position:
2θ/deg	d_spacing	intensity	h k l
13.4	6.624	5.1	0 0 2
27.8	3.209	7.6	1 0 1
30.2	2.959	8.1	1 0 2
33.9	2.648	10.0	0 0 5
38.5	2.340	100.0	1 1 0
55.6	1.654	15.7	2 0 0
63.2	1.471	3.6	1 1 7
66.7	1.403	3.5	2 0 5
69.6	1.351	29.4	2 1 4
82.4	1.170	8.7	2 2 0

=====

Calculated powder XRD pattern
Compound: DyScCu5
Radiation: CuKα
Structure: a cell relaxed with PBE
Neutral-atom scattering factors, no anomalous dispersion.

Structural model:
Cell lengths 8.330, 5.029, 10.807 Å; angles 90.00, 90.00, 90.00 degrees
Space group Pnma (No. 62)
One atom of each set of equivalent atoms:
Dy  0.109  0.250  0.130 x4
Sc  0.216  0.250  0.440 x4
Cu  0.085  0.502  0.674 x8
Cu  0.094  0.250  0.876 x4
Cu  0.096  0.750  0.471 x4
Cu  0.168  0.750  0.247 x4

Most intense lines, 10° ≤ 2θ ≤ 90°, sorted by position:
2θ/deg	d_spacing	intensity	h k l
22.2	4.000	48.4	1 1 1
35.7	2.514	31.6	0 2 0
36.4	2.470	28.2	3 0 2
37.9	2.372	86.0	3 1 1
42.8	2.111	65.1	2 2 1
43.2	2.092	25.0	1 0 5
43.5	2.083	25.6	4 0 0
43.8	2.066	100.0	2 1 4
45.3	2.001	84.6	1 2 3
73.0	1.296	25.3	5 2 3

=====

Calculated powder XRD pattern
Compound: DyScCu10
Radiation: CuKα
Structure: a cell relaxed with PBE
Neutral-atom scattering factors, no anomalous dispersion.

Structural model:
Cell lengths 4.104, 4.969, 8.561 Å; angles 90.00, 90.00, 90.00 degrees
Space group Pmmm (No. 47)
One atom of each set of equivalent atoms:
Dy  0.000  0.000  0.000 x1
Sc  0.000  0.500  0.500 x1
Cu  0.000  0.000  0.339 x2
Cu  0.000  0.500  0.174 x2
Cu  0.500  0.000  0.500 x1
Cu  0.500  0.251  0.253 x4
Cu  0.500  0.500  0.000 x1

Most intense lines, 10° ≤ 2θ ≤ 90°, sorted by position:
2θ/deg	d_spacing	intensity	h k l
30.1	2.966	43.2	1 1 1
36.3	2.475	24.2	0 1 3
42.0	2.149	31.4	0 2 2
42.5	2.125	50.8	1 2 0
42.7	2.119	100.0	1 1 3
44.1	2.052	47.6	2 0 0
47.8	1.904	22.5	1 2 2
62.6	1.484	18.2	2 2 2
69.5	1.353	21.5	1 3 3
80.1	1.198	21.2	3 2 0

=====

Calculated powder XRD pattern
Compound: Dy3CuSe6
Radiation: CuKα
Structure: a cell relaxed with PBE
Neutral-atom scattering factors, no anomalous dispersion.

Structural model:
Cell lengths 7.747, 7.122, 16.934 Å; angles 90.00, 90.00, 90.00 degrees
Space group Pca2_1 (No. 29)
One atom of each set of equivalent atoms:
Dy  0.055  0.229  0.000 x4
Dy  0.059  0.262  0.665 x4
Dy  0.060  0.246  0.321 x4
Cu  0.209  0.601  0.935 x4
Se  0.090  0.387  0.496 x4
Se  0.093  0.383  0.831 x4
Se  0.098  0.383  0.161 x4
Se  0.248  0.928  0.738 x4
Se  0.249  0.933  0.911 x4
Se  0.250  0.927  0.089 x4

Most intense lines, 10° ≤ 2θ ≤ 90°, sorted by position:
2θ/deg	d_spacing	intensity	h k l
23.2	3.842	100.0	1 1 3
34.2	2.622	74.4	2 2 0
36.1	2.485	49.5	1 1 6
37.0	2.428	81.0	3 1 0
37.8	2.377	36.0	2 2 3
39.5	2.281	68.0	2 0 6
40.8	2.212	42.9	0 2 6
42.9	2.106	75.8	1 3 3
49.5	1.840	28.8	3 1 6
56.5	1.629	26.9	4 2 3

=====

Calculated powder XRD pattern
Compound: Dy2CuSnSe5
Radiation: CuKα
Structure: a cell relaxed with PBE
Neutral-atom scattering factors, no anomalous dispersion.

Structural model:
Cell lengths 3.953, 17.281, 12.262 Å; angles 90.00, 90.00, 90.00 degrees
Space group Cmc2_1 (No. 36)
One atom of each set of equivalent atoms:
Dy  0.000  0.117  0.000 x4
Dy  0.000  0.120  0.379 x4
Cu  0.000  0.496  0.687 x4
Sn  0.000  0.183  0.692 x4
Se  0.000  0.035  0.780 x4
Se  0.000  0.295  0.361 x4
Se  0.000  0.296  0.020 x4
Se  0.000  0.351  0.694 x4
Se  0.000  0.491  0.993 x4

Most intense lines, 10° ≤ 2θ ≤ 90°, sorted by position:
2θ/deg	d_spacing	intensity	h k l
24.1	3.695	12.1	0 2 3
27.3	3.261	20.7	1 3 0
31.9	2.804	100.0	1 1 3
34.5	2.603	27.3	1 5 0
37.5	2.395	32.0	1 5 2
38.2	2.356	18.2	0 6 3
43.9	2.064	9.9	1 7 1
44.3	2.044	10.3	0 0 6
45.8	1.982	10.1	1 7 2
45.9	1.977	21.4	2 0 0

=====

Calculated powder XRD pattern
Compound: DyCuTeSe
Radiation: CuKα
Structure: a cell relaxed with PBE
Neutral-atom scattering factors, no anomalous dispersion.

Structural model:
Cell lengths 4.1149, 4.1149, 20.9007 Å; angles 90.00, 90.00, 120.00 degrees
Space group R3m (No. 160, hexagonal axes)
One atom of each set of equivalent atoms:
Dy  0.0000  0.0000  0.0000 x3
Cu  0.0000  0.0000  0.5481 x3
Te  0.0000  0.0000  0.4236 x3
Se  0.0000  0.0000  0.2477 x3

Most intense lines, 10° ≤ 2θ ≤ 90°, sorted by position:
2θ/deg	d_spacing	intensity	h k l
12.7	6.967	36.4	0 0 3
25.4	3.513	32.8	1 0 1
26.4	3.373	99.4	0 1 2
30.4	2.944	77.9	1 0 4
33.0	2.712	86.4	0 1 5
39.4	2.289	90.2	1 0 7
44.0	2.057	100.0	1 1 0
60.1	1.540	34.7	1 1 9
60.5	1.530	25.1	0 2 7
77.8	1.227	35.0	2 1 7